# 1
Structure and computed XRD peak list of U6Fe16Si7 (a crystal structure in the Materials Project, relaxed with PBE; a wavelength of 1.5418 Å).
Peak positions follow from Bragg's law for the DFT cell and can differ from measured ones.

Peak list (10 most intense, 2θ from 10° to 90°, in order of falling intensity)
44.10°, rel. 100
26.58°, rel. 90
40.34°, rel. 77
86.69°, rel. 33
37.94°, rel. 32
61.29°, rel. 24
30.79°, rel. 19
34.53°, rel. 19
56.57°, rel. 19
33.63°, rel. 18

Structure:
Cell: 8.215 8.215 8.215 Å, 60.00 60.00 60.00°
Element x y z (fractional)
U: 0.218 0.218 0.782
U: 0.218 0.782 0.218
U: 0.218 0.782 0.782
U: 0.782 0.218 0.218
U: 0.782 0.218 0.782
U: 0.782 0.782 0.218
Fe: 0.137 0.621 0.621
Fe: 0.175 0.175 0.175
Fe: 0.175 0.175 0.475
Fe: 0.175 0.475 0.175
Fe: 0.377 0.377 0.377
Fe: 0.377 0.377 0.869
Fe: 0.377 0.869 0.377
Fe: 0.475 0.175 0.175
Fe: 0.476 0.841 0.841
Fe: 0.621 0.137 0.621
Fe: 0.621 0.621 0.137
Fe: 0.621 0.621 0.621
Fe: 0.841 0.476 0.841
Fe: 0.841 0.841 0.476
Fe: 0.841 0.841 0.841
Fe: 0.869 0.377 0.377
Si: 0.500 0.500 0.500
Si: 0.503 0.503 0.997
Si: 0.503 0.997 0.503
Si: 0.503 0.997 0.997
Si: 0.997 0.503 0.503
Si: 0.997 0.503 0.997
Si: 0.997 0.997 0.503

# 2
Structure and computed XRD peak list of U6Fe16Si7 (a crystal structure in the Materials Project, relaxed with PBE; a wavelength of 1.5418 Å).
Peak positions follow from Bragg's law for the DFT cell and can differ from measured ones.

Peak list (10 most intense, 2θ from 10° to 90°, in order of falling intensity)
44.08°, rel. 100
26.57°, rel. 96
40.32°, rel. 81
37.93°, rel. 34
86.65°, rel. 31
30.77°, rel. 22
61.26°, rel. 22
34.51°, rel. 20
56.55°, rel. 20
68.51°, rel. 18

Structure:
Cell: 8.218 8.218 8.218 Å, 60.00 60.00 60.00°
Element x y z (fractional)
U: 0.218 0.218 0.782
U: 0.218 0.782 0.218
U: 0.218 0.782 0.782
U: 0.782 0.218 0.218
U: 0.782 0.218 0.782
U: 0.782 0.782 0.218
Fe: 0.134 0.622 0.622
Fe: 0.171 0.171 0.171
Fe: 0.171 0.171 0.488
Fe: 0.171 0.488 0.171
Fe: 0.378 0.378 0.378
Fe: 0.378 0.378 0.866
Fe: 0.378 0.866 0.378
Fe: 0.488 0.171 0.171
Fe: 0.512 0.829 0.829
Fe: 0.622 0.134 0.622
Fe: 0.622 0.622 0.134
Fe: 0.622 0.622 0.622
Fe: 0.829 0.512 0.829
Fe: 0.829 0.829 0.512
Fe: 0.829 0.829 0.829
Fe: 0.866 0.378 0.378
Si: 0.000 0.000 0.500
Si: 0.000 0.500 0.000
Si: 0.000 0.500 0.500
Si: 0.500 0.000 0.000
Si: 0.500 0.000 0.500
Si: 0.500 0.500 0.000
Si: 0.500 0.500 0.500